No. 1
This entry pairs a crystal structure of Nd4CBr4F with its computed powder diffractogram. Radiation: λ = 1.5418 Å (Cu Kα). Structure: DFT lattice parameters and positions (GGA-PBE).
Neutral-atom scattering factors, no anomalous dispersion.

Main lines, in order of rising 2θ (10 to 90 degrees two-theta):
- 2θ 11.63, rel. 38.9, (0 0 1)
- 2θ 26.21, rel. 19.5, (1 1 -1)
- 2θ 29.90, rel. 51.0, (6 0 0)
- 2θ 31.35, rel. 19.0, (3 1 1)
- 2θ 32.96, rel. 100.0, (1 1 -2)
- 2θ 34.35, rel. 47.5, (5 1 0)
- 2θ 44.80, rel. 33.6, (5 1 2)
- 2θ 45.39, rel. 24.7, (7 1 -2)

Structure:
Cell: 18.279 3.808 7.761 Å, 90.00 101.25 90.00°
Space group C2/m (No. 12)
Asymmetric unit:
Nd: 0.004 0.000 0.270 [4 per cell]
Nd: 0.140 0.500 0.579 [4 per cell]
C: 0.000 0.500 0.500 [2 per cell]
Br: 0.159 0.000 0.870 [4 per cell]
Br: 0.174 0.000 0.312 [4 per cell]
F: 0.000 0.500 0.000 [2 per cell]

No. 2
This entry pairs a crystal structure of Pr6ZnFe13 with its computed powder diffractogram. Radiation: λ = 1.5418 Å (Cu Kα). Structure: DFT lattice parameters and positions (GGA-PBE).
Neutral-atom scattering factors, no anomalous dispersion.

Main lines, in order of rising 2θ (10 to 90 degrees two-theta):
- 2θ 27.42, rel. 70.5, (2 1 3)
- 2θ 31.56, rel. 100.0, (2 2 0)
- 2θ 35.37, rel. 75.1, (3 1 0)
- 2θ 38.42, rel. 56.1, (2 0 8)
- 2θ 38.76, rel. 30.6, (3 1 4)
- 2θ 43.36, rel. 36.7, (2 1 9)
- 2θ 46.84, rel. 36.6, (4 1 1)
- 2θ 58.32, rel. 30.5, (3 3 8)

Structure:
Cell: 8.026 8.026 23.087 Å, 90.00 90.00 90.00°
Space group I4/mcm (No. 140)
Asymmetric unit:
Pr: 0.000 0.000 0.108 [8 per cell]
Pr: 0.163 0.337 0.188 [16 per cell]
Zn: 0.000 0.000 0.250 [4 per cell]
Fe: 0.000 0.500 0.000 [4 per cell]
Fe: 0.067 0.210 0.500 [16 per cell]
Fe: 0.113 0.387 0.406 [16 per cell]
Fe: 0.179 0.321 0.059 [16 per cell]

No. 3
This entry pairs a crystal structure of TbHg3Se4Br with its computed powder diffractogram. Radiation: λ = 1.5418 Å (Cu Kα). Structure: DFT lattice parameters and positions (GGA-PBE).
Neutral-atom scattering factors, no anomalous dispersion.

Main lines, in order of rising 2θ (10 to 90 degrees two-theta):
- 2θ 20.58, rel. 47.3, (0 0 2)
- 2θ 25.30, rel. 94.3, (2 0 0)
- 2θ 30.20, rel. 97.8, (1 1 2)
- 2θ 32.83, rel. 100.0, (2 0 2)
- 2θ 43.91, rel. 60.8, (3 0 2)
- 2θ 44.59, rel. 78.3, (2 2 0)
- 2θ 49.56, rel. 53.7, (2 0 4)
- 2θ 70.77, rel. 37.2, (2 0 6)

Structure:
Cell: 8.1289 8.1289 8.6319 Å, 90.00 90.00 120.00°
Space group P6_3mc (No. 186)
Asymmetric unit:
Tb: 0.0000 0.0000 0.0000 [2 per cell]
Hg: 0.0175 0.5087 0.1592 [6 per cell]
Se: 0.1429 0.2857 0.7430 [6 per cell]
Se: 0.3333 0.6667 0.9978 [2 per cell]
Br: 0.3333 0.6667 0.4309 [2 per cell]